1.
For CsKTeCl6, DFT lattice parameters and positions (PBE) gives the simulated X-ray diffraction stick pattern in this record (CuKα).

Main lines, sorted by position (10° ≤ 2θ ≤ 90°):
- 13.29°, I = 25, hkl 1 0 0
- 18.09°, I = 100, hkl 1 0 1
- 23.13°, I = 20, hkl 1 1 0
- 26.23°, I = 19, hkl 2 -1 1
- 29.52°, I = 23, hkl 2 0 1
- 33.99°, I = 53, hkl 2 -1 2
- 37.83°, I = 32, hkl 3 -1 1
- 40.64°, I = 20, hkl 3 0 0
- 51.02°, I = 14, hkl 3 1 1
- 52.49°, I = 14, hkl 2 1 3

Cell and atoms:
Cell: 7.6910 7.6910 7.2488 Å, 90.00 90.00 120.00°
Space group P312 (No. 149)
Inequivalent atoms, fractional coordinates:
Cs 0.0000 0.0000 0.0000 (multiplicity 1)
K 0.3333 0.6667 0.5000 (multiplicity 1)
Te 0.6667 0.3333 0.5000 (multiplicity 1)
Cl 0.3973 0.0566 0.7056 (multiplicity 6)

***

2.
For CsKV2Cl8, DFT lattice parameters and positions (PBE) gives the simulated X-ray diffraction stick pattern in this record (CuKα).

Main lines, sorted by position (10° ≤ 2θ ≤ 90°):
- 18.96°, I = 100, hkl 1 0 4
- 25.64°, I = 46, hkl 1 1 0
- 26.91°, I = 25, hkl 0 0 9
- 27.19°, I = 90, hkl 1 1 3
- 28.17°, I = 38, hkl 0 1 8
- 31.42°, I = 53, hkl 2 -1 6
- 32.08°, I = 23, hkl 0 2 4
- 41.52°, I = 24, hkl 2 1 4
- 44.85°, I = 41, hkl 1 1 12
- 45.21°, I = 40, hkl 3 0 0

Cell and atoms:
Cell: 6.9477 6.9477 29.8142 Å, 90.00 90.00 120.00°
Space group R-3 (No. 148, hexagonal axes)
Inequivalent atoms, fractional coordinates:
Cs 0.0000 0.0000 0.0000 (multiplicity 3)
K 0.0000 0.0000 0.5000 (multiplicity 3)
V 0.0000 0.0000 0.2538 (multiplicity 6)
Cl 0.0000 0.0000 0.3285 (multiplicity 6)
Cl 0.0089 0.6258 0.4364 (multiplicity 18)

***

3.
For CsK2YCl6, DFT lattice parameters and positions (PBE) gives the simulated X-ray diffraction stick pattern in this record (CuKα).

Main lines, sorted by position (10° ≤ 2θ ≤ 90°):
- 15.55°, I = 100, hkl 0 1 2
- 21.49°, I = 78, hkl 1 0 4
- 22.62°, I = 52, hkl 1 1 0
- 26.05°, I = 50, hkl 1 1 3
- 31.40°, I = 41, hkl 0 2 4
- 34.48°, I = 80, hkl 2 -1 6
- 39.04°, I = 48, hkl 3 -1 4
- 39.71°, I = 48, hkl 3 0 0
- 45.53°, I = 26, hkl 1 1 9
- 51.47°, I = 22, hkl 1 3 4

Cell and atoms:
Cell: 7.8626 7.8626 20.8194 Å, 90.00 90.00 120.00°
Space group R3 (No. 146, hexagonal axes)
Inequivalent atoms, fractional coordinates:
Cs 0.0000 0.0000 0.0000 (multiplicity 3)
K 0.0000 0.0000 0.2803 (multiplicity 3)
K 0.0000 0.0000 0.7955 (multiplicity 3)
Y 0.0000 0.0000 0.4832 (multiplicity 3)
Cl 0.0198 0.2981 0.5506 (multiplicity 9)
Cl 0.0213 0.7478 0.4018 (multiplicity 9)